Simulated PXRD pattern of Na2NpSnI8 for Cu Kα (λ = 1.5418 Å), from the PBE geometry in Alexandria.
Intensities are scaled so that the largest is 100.

Main lines, sorted by position (10° ≤ 2θ ≤ 90°):
| Position (°2θ) | intensity |
| --- | --- |
| 11.46 | 30 |
| 12.10 | 28 |
| 16.06 | 29 |
| 24.93 | 100 |
| 26.92 | 49 |
| 32.50 | 54 |
| 33.83 | 27 |
| 39.98 | 45 |

Atomic structure:
a = 7.333 Å, b = 9.371 Å, c = 7.740 Å
α = 90.00°, β = 94.28°, γ = 90.00°
Atoms (fractional coordinates):
Na 0.000 0.243 0.000
Na 0.000 0.757 0.000
Np 0.500 0.500 0.500
Sn 0.500 0.000 0.500
I 0.241 0.000 0.163
I 0.248 0.500 0.173
I 0.276 0.265 0.647
I 0.276 0.735 0.647
I 0.724 0.265 0.353
I 0.724 0.735 0.353
I 0.752 0.500 0.827
I 0.759 0.000 0.837


Simulated PXRD pattern of Na2SrNpI8 for Cu Kα (λ = 1.5418 Å), from the PBE geometry in Alexandria.
Intensities are scaled so that the largest is 100.

Main lines, sorted by position (10° ≤ 2θ ≤ 90°):
| Position (°2θ) | intensity |
| --- | --- |
| 11.38 | 25 |
| 24.66 | 100 |
| 25.37 | 28 |
| 26.59 | 47 |
| 32.23 | 38 |
| 33.34 | 26 |
| 39.58 | 46 |
| 43.64 | 24 |

Atomic structure:
a = 7.395 Å, b = 9.530 Å, c = 7.790 Å
α = 90.00°, β = 93.63°, γ = 90.00°
Atoms (fractional coordinates):
Na 0.000 0.240 0.000
Na 0.000 0.760 0.000
Sr 0.500 0.000 0.500
Np 0.500 0.500 0.500
I 0.236 0.000 0.161
I 0.251 0.500 0.179
I 0.271 0.275 0.652
I 0.271 0.725 0.652
I 0.729 0.275 0.348
I 0.729 0.725 0.348
I 0.749 0.500 0.821
I 0.764 0.000 0.839


Simulated PXRD pattern of Na4IO6 for Cu Kα (λ = 1.5418 Å), from the PBE geometry in Alexandria.
Intensities are scaled so that the largest is 100.

Main lines, sorted by position (10° ≤ 2θ ≤ 90°):
| Position (°2θ) | intensity |
| --- | --- |
| 18.58 | 100 |
| 26.40 | 19 |
| 32.47 | 39 |
| 37.70 | 11 |
| 42.33 | 34 |
| 50.56 | 17 |
| 57.92 | 18 |
| 71.19 | 13 |

Atomic structure:
a = 6.752 Å, b = 6.752 Å, c = 6.752 Å
α = 90.09°, β = 90.09°, γ = 90.09°
Atoms (fractional coordinates):
Na 0.086 0.750 0.414
Na 0.250 0.250 0.250
Na 0.250 0.586 0.914
Na 0.414 0.086 0.750
Na 0.586 0.914 0.250
Na 0.750 0.414 0.086
Na 0.750 0.750 0.750
Na 0.914 0.250 0.586
I 0.000 0.000 0.000
I 0.500 0.500 0.500
O 0.044 0.947 0.727
O 0.053 0.273 0.956
O 0.227 0.447 0.544
O 0.273 0.956 0.053
O 0.447 0.544 0.227
O 0.456 0.773 0.553
O 0.544 0.227 0.447
O 0.553 0.456 0.773
O 0.727 0.044 0.947
O 0.773 0.553 0.456
O 0.947 0.727 0.044
O 0.956 0.053 0.273


Simulated PXRD pattern of Na2I2O5 for Cu Kα (λ = 1.5418 Å), from the PBE geometry in Alexandria.
Intensities are scaled so that the largest is 100.

Main lines, sorted by position (10° ≤ 2θ ≤ 90°):
| Position (°2θ) | intensity |
| --- | --- |
| 17.46 | 95 |
| 22.71 | 90 |
| 28.39 | 83 |
| 28.92 | 72 |
| 30.26 | 72 |
| 31.58 | 100 |
| 42.78 | 40 |
| 43.86 | 42 |

Atomic structure:
a = 6.867 Å, b = 6.867 Å, c = 5.386 Å
α = 108.53°, β = 108.53°, γ = 34.98°
Atoms (fractional coordinates):
Na 0.126 0.126 0.430
Na 0.874 0.874 0.570
I 0.393 0.393 0.089
I 0.607 0.607 0.911
O 0.088 0.088 0.896
O 0.312 0.312 0.724
O 0.500 0.500 0.500
O 0.688 0.688 0.276
O 0.912 0.912 0.104


Simulated PXRD pattern of NaPtIO5 for Cu Kα (λ = 1.5418 Å), from the PBE geometry in Alexandria.
Intensities are scaled so that the largest is 100.

Main lines, sorted by position (10° ≤ 2θ ≤ 90°):
| Position (°2θ) | intensity |
| --- | --- |
| 17.01 | 45 |
| 19.09 | 17 |
| 27.62 | 52 |
| 28.68 | 40 |
| 31.59 | 100 |
| 33.33 | 25 |
| 38.74 | 17 |
| 52.68 | 18 |

Atomic structure:
a = 5.742 Å, b = 5.742 Å, c = 7.256 Å
α = 97.47°, β = 97.47°, γ = 112.23°
Atoms (fractional coordinates):
Na 0.172 0.828 0.750
Na 0.828 0.172 0.250
Pt 0.500 0.500 0.000
Pt 0.500 0.500 0.500
I 0.171 0.829 0.250
I 0.829 0.171 0.750
O 0.123 0.281 0.983
O 0.187 0.572 0.393
O 0.281 0.123 0.483
O 0.411 0.589 0.750
O 0.428 0.813 0.107
O 0.572 0.187 0.893
O 0.589 0.411 0.250
O 0.719 0.877 0.517
O 0.813 0.428 0.607
O 0.877 0.719 0.017


Simulated PXRD pattern of Rb2Na2IO6 for Cu Kα (λ = 1.5418 Å), from the PBE geometry in Alexandria.
Intensities are scaled so that the largest is 100.

Main lines, sorted by position (10° ≤ 2θ ≤ 90°):
| Position (°2θ) | intensity |
| --- | --- |
| 17.83 | 100 |
| 22.64 | 80 |
| 28.09 | 57 |
| 31.19 | 23 |
| 31.69 | 41 |
| 33.65 | 43 |
| 36.52 | 69 |
| 48.46 | 24 |

Atomic structure:
a = 5.866 Å, b = 5.866 Å, c = 6.825 Å
α = 100.96°, β = 100.96°, γ = 116.73°
Atoms (fractional coordinates):
Rb 0.184 0.816 0.000
Rb 0.816 0.184 0.000
Na 0.342 0.658 0.500
Na 0.658 0.342 0.500
I 0.000 0.000 0.500
O 0.057 0.329 0.674
O 0.193 0.193 0.335
O 0.329 0.057 0.674
O 0.671 0.943 0.326
O 0.807 0.807 0.665
O 0.943 0.671 0.326


Simulated PXRD pattern of NaRhIO5 for Cu Kα (λ = 1.5418 Å), from the PBE geometry in Alexandria.
Intensities are scaled so that the largest is 100.

Main lines, sorted by position (10° ≤ 2θ ≤ 90°):
| Position (°2θ) | intensity |
| --- | --- |
| 18.57 | 39 |
| 22.98 | 21 |
| 23.23 | 25 |
| 27.41 | 100 |
| 31.89 | 62 |
| 32.18 | 44 |
| 51.41 | 21 |
| 59.24 | 26 |

Atomic structure:
a = 5.762 Å, b = 5.762 Å, c = 7.205 Å
α = 99.27°, β = 99.27°, γ = 108.20°
Atoms (fractional coordinates):
Na 0.177 0.823 0.750
Na 0.823 0.177 0.250
Rh 0.500 0.500 0.000
Rh 0.500 0.500 0.500
I 0.173 0.827 0.250
I 0.827 0.173 0.750
O 0.132 0.290 0.969
O 0.181 0.574 0.390
O 0.290 0.132 0.469
O 0.421 0.579 0.750
O 0.426 0.819 0.110
O 0.574 0.181 0.890
O 0.579 0.421 0.250
O 0.710 0.868 0.531
O 0.819 0.426 0.610
O 0.868 0.710 0.031


Simulated PXRD pattern of NaS2IO8 for Cu Kα (λ = 1.5418 Å), from the PBE geometry in Alexandria.
Intensities are scaled so that the largest is 100.

Main lines, sorted by position (10° ≤ 2θ ≤ 90°):
| Position (°2θ) | intensity |
| --- | --- |
| 19.76 | 32 |
| 22.72 | 100 |
| 29.97 | 45 |
| 34.58 | 30 |
| 41.54 | 19 |
| 41.77 | 12 |
| 46.40 | 25 |
| 55.31 | 14 |

Atomic structure:
a = 5.188 Å, b = 5.188 Å, c = 7.971 Å
α = 90.00°, β = 90.00°, γ = 120.00°
Atoms (fractional coordinates):
Na 0.000 0.000 0.000
S 0.333 0.667 0.203
S 0.667 0.333 0.797
I 0.000 0.000 0.500
O 0.174 0.348 0.261
O 0.174 0.826 0.261
O 0.333 0.667 0.020
O 0.348 0.174 0.739
O 0.652 0.826 0.261
O 0.667 0.333 0.980
O 0.826 0.174 0.739
O 0.826 0.652 0.739


Simulated PXRD pattern of Na3Sr2I3O2 for Cu Kα (λ = 1.5418 Å), from the PBE geometry in Alexandria.
Intensities are scaled so that the largest is 100.

Main lines, sorted by position (10° ≤ 2θ ≤ 90°):
| Position (°2θ) | intensity |
| --- | --- |
| 21.44 | 100 |
| 25.82 | 77 |
| 27.32 | 80 |
| 28.66 | 88 |
| 30.06 | 71 |
| 34.19 | 69 |
| 37.61 | 94 |
| 47.96 | 83 |

Atomic structure:
a = 12.911 Å, b = 12.911 Å, c = 12.911 Å
α = 158.65°, β = 158.65°, γ = 30.37°
Atoms (fractional coordinates):
Na 0.000 0.000 0.000
Na 0.370 0.370 0.000
Na 0.630 0.630 0.000
Sr 0.250 0.750 0.500
Sr 0.750 0.250 0.500
I 0.128 0.128 0.000
I 0.500 0.500 0.000
I 0.872 0.872 0.000
O 0.278 0.278 0.000
O 0.722 0.722 0.000


Simulated PXRD pattern of NaTaIO5 for Cu Kα (λ = 1.5418 Å), from the PBE geometry in Alexandria.
Intensities are scaled so that the largest is 100.

Main lines, sorted by position (10° ≤ 2θ ≤ 90°):
| Position (°2θ) | intensity |
| --- | --- |
| 15.15 | 53 |
| 17.25 | 73 |
| 25.10 | 100 |
| 29.49 | 65 |
| 30.58 | 64 |
| 31.31 | 78 |
| 34.21 | 27 |
| 35.91 | 34 |

Atomic structure:
a = 6.349 Å, b = 6.349 Å, c = 6.509 Å
α = 106.60°, β = 106.60°, γ = 99.92°
Atoms (fractional coordinates):
Na 0.071 0.929 0.750
Na 0.929 0.071 0.250
Ta 0.000 0.500 0.000
Ta 0.500 0.000 0.500
I 0.446 0.554 0.750
I 0.554 0.446 0.250
O 0.144 0.558 0.772
O 0.188 0.290 0.068
O 0.242 0.758 0.250
O 0.290 0.188 0.568
O 0.442 0.856 0.728
O 0.558 0.144 0.272
O 0.710 0.812 0.432
O 0.758 0.242 0.750
O 0.812 0.710 0.932
O 0.856 0.442 0.228